Calculated powder diffraction line list
Compound: Li2SnMoO4
Radiation: Cu Kα X-rays
Structure: a GGA+U-relaxed structure
No peak broadening, texture or thermal motion is included.

Atomic structure:
Unit cell a=4.390 b=4.390 c=9.723 alpha=90.00 beta=90.00 gamma=90.00
Space group I-4m2 (No. 119)
Unique sites:
Li: 0.000 0.000 0.000 x2
Li: 0.000 0.500 0.250 x2
Sn: 0.000 0.000 0.500 x2
Mo: 0.000 0.500 0.750 x2
O: 0.000 0.000 0.259 x4
O: 0.000 0.500 0.525 x4

Largest 10 diffraction maxima, in order of rising 2θ, 10° ≤ 2θ ≤ 80°:
- (1 0 1), d = 4.001 Å, I = 100
- (1 1 2), d = 2.616 Å, I = 38
- (1 0 3), d = 2.607 Å, I = 26
- (0 0 4), d = 2.431 Å, I = 24
- (2 0 0), d = 2.195 Å, I = 37
- (2 1 1), d = 1.925 Å, I = 27
- (1 0 5), d = 1.778 Å, I = 13
- (2 1 3), d = 1.679 Å, I = 14
- (2 0 4), d = 1.629 Å, I = 26
- (3 1 2), d = 1.335 Å, I = 15